Entry 1:
Diffraction record for LiCoCu2H5. The PXRD pattern is theoretical, not measured: it uses a cell relaxed with PBE and Cu Ka.
No peak broadening, texture or thermal motion is included.

Cell and atoms:
Unit cell a=3.2537 b=4.5093 c=8.7985 alpha=90.00 beta=90.00 gamma=90.00
Space group Immm (No. 71)
Asymmetric unit:
Li: 0.0000 0.0000 0.0000 (multiplicity 2)
Co: 0.0000 0.0000 0.5000 (multiplicity 2)
Cu: 0.0000 0.5000 0.2236 (multiplicity 4)
H: 0.0000 0.2595 0.3769 (multiplicity 8)
H: 0.0000 0.5000 0.0000 (multiplicity 2)

Peak list (12 most intense, 5° ≤ 2θ ≤ 70°, in order of rising 2θ)
| d [Å] | two_theta | Rel. int. | index |
| --- | --- | --- | --- |
| 4.399 | 20.2 | 13.7 | 0 0 2 |
| 4.013 | 22.2 | 40.6 | 0 1 1 |
| 3.052 | 29.3 | 4.2 | 1 0 1 |
| 2.639 | 34.0 | 10.8 | 1 1 0 |
| 2.263 | 39.8 | 100.0 | 1 1 2 |
| 2.255 | 40.0 | 26.0 | 0 2 0 |
| 2.200 | 41.0 | 17.6 | 0 0 4 |
| 2.178 | 41.4 | 16.1 | 1 0 3 |
| 1.639 | 56.1 | 11.3 | 0 1 5 |
| 1.627 | 56.6 | 9.5 | 2 0 0 |
| 1.574 | 58.6 | 12.5 | 0 2 4 |
| 1.567 | 59.0 | 11.5 | 1 2 3 |

***

Entry 2:
Diffraction record for NdCoCuH6. The PXRD pattern is theoretical, not measured: it uses a cell relaxed with PBE and Cu Ka.
No peak broadening, texture or thermal motion is included.

Cell and atoms:
Unit cell a=4.4638 b=4.4638 c=4.2760 alpha=90.00 beta=90.00 gamma=120.00
Space group P-6m2 (No. 187)
Asymmetric unit:
Nd: 0.0000 0.0000 0.0000 (multiplicity 1)
Co: 0.6667 0.3333 0.5000 (multiplicity 1)
Cu: 0.3333 0.6667 0.5000 (multiplicity 1)
H: 0.5119 0.0237 0.2527 (multiplicity 6)

Peak list (11 most intense, 5° ≤ 2θ ≤ 70°, in order of rising 2θ)
| d [Å] | two_theta | Rel. int. | index |
| --- | --- | --- | --- |
| 3.866 | 23.0 | 13.4 | 1 0 0 |
| 2.868 | 31.2 | 100.0 | 1 0 1 |
| 2.232 | 40.4 | 41.4 | 1 1 0 |
| 2.138 | 42.3 | 11.7 | 0 0 2 |
| 1.933 | 47.0 | 2.7 | 2 0 0 |
| 1.871 | 48.7 | 4.4 | 1 0 2 |
| 1.761 | 51.9 | 23.3 | 2 0 1 |
| 1.544 | 59.9 | 25.7 | 1 1 2 |
| 1.461 | 63.7 | 1.9 | 2 1 0 |
| 1.434 | 65.1 | 1.7 | 2 0 2 |
| 1.383 | 67.8 | 20.5 | 2 1 1 |

***

Entry 3:
Diffraction record for NpCoCuH6. The PXRD pattern is theoretical, not measured: it uses a cell relaxed with PBE and Cu Ka.
No peak broadening, texture or thermal motion is included.

Cell and atoms:
Unit cell a=4.3788 b=4.3788 c=4.1942 alpha=90.00 beta=90.00 gamma=120.00
Space group P-6m2 (No. 187)
Asymmetric unit:
Np: 0.0000 0.0000 0.0000 (multiplicity 1)
Co: 0.3333 0.6667 0.5000 (multiplicity 1)
Cu: 0.6667 0.3333 0.5000 (multiplicity 1)
H: 0.0210 0.5105 0.2378 (multiplicity 6)

Peak list (12 most intense, 5° ≤ 2θ ≤ 70°, in order of rising 2θ)
| d [Å] | two_theta | Rel. int. | index |
| --- | --- | --- | --- |
| 4.194 | 21.2 | 4.7 | 0 0 1 |
| 3.792 | 23.5 | 30.7 | 1 0 0 |
| 2.813 | 31.8 | 100.0 | 1 0 1 |
| 2.189 | 41.2 | 36.5 | 1 1 0 |
| 2.097 | 43.1 | 10.4 | 0 0 2 |
| 1.941 | 46.8 | 4.2 | 1 1 1 |
| 1.896 | 48.0 | 5.6 | 2 0 0 |
| 1.835 | 49.7 | 9.7 | 1 0 2 |
| 1.728 | 53.0 | 24.1 | 2 0 1 |
| 1.514 | 61.2 | 23.0 | 1 1 2 |
| 1.433 | 65.1 | 4.4 | 2 1 0 |
| 1.356 | 69.3 | 21.5 | 2 1 1 |

***

Entry 4:
Diffraction record for PaCoCuH6. The PXRD pattern is theoretical, not measured: it uses a cell relaxed with PBE and Cu Ka.
No peak broadening, texture or thermal motion is included.

Cell and atoms:
Unit cell a=4.3302 b=4.3302 c=4.1747 alpha=90.00 beta=90.00 gamma=120.00
Space group P-6m2 (No. 187)
Asymmetric unit:
Pa: 0.0000 0.0000 0.0000 (multiplicity 1)
Co: 0.6667 0.3333 0.5000 (multiplicity 1)
Cu: 0.3333 0.6667 0.5000 (multiplicity 1)
H: 0.5084 0.0167 0.2256 (multiplicity 6)

Peak list (12 most intense, 5° ≤ 2θ ≤ 70°, in order of rising 2θ)
| d [Å] | two_theta | Rel. int. | index |
| --- | --- | --- | --- |
| 4.175 | 21.3 | 4.6 | 0 0 1 |
| 3.750 | 23.7 | 29.7 | 1 0 0 |
| 2.790 | 32.1 | 100.0 | 1 0 1 |
| 2.165 | 41.7 | 36.4 | 1 1 0 |
| 2.087 | 43.3 | 10.6 | 0 0 2 |
| 1.922 | 47.3 | 3.9 | 1 1 1 |
| 1.875 | 48.6 | 5.4 | 2 0 0 |
| 1.824 | 50.0 | 9.5 | 1 0 2 |
| 1.710 | 53.6 | 23.9 | 2 0 1 |
| 1.503 | 61.7 | 23.0 | 1 1 2 |
| 1.417 | 65.9 | 4.2 | 2 1 0 |
| 1.395 | 67.1 | 3.9 | 2 0 2 |